For NaNiI, DFT lattice parameters and positions (GGA-PBE) gives the theoretical XRD peak list in this record (Cu Kα).

Most intense lines, 10 to 80 degrees two-theta, in order of rising 2θ:
hkl, 2θ (°), I_rel
2 0 0, 20.28, 83
0 1 1, 21.33, 50
2 1 1, 29.60, 100
1 1 2, 38.58, 21
1 3 0, 39.59, 23
4 0 0, 41.23, 22
0 2 2, 43.45, 32
2 3 1, 47.20, 17
2 2 2, 48.39, 27
4 2 2, 61.44, 22

Cell and atoms:
```
data_NaNiI
_cell_length_a 8.757
_cell_length_b 7.073
_cell_length_c 5.154
_cell_angle_alpha 90.00
_cell_angle_beta 90.00
_cell_angle_gamma 90.00
_space_group_name_H-M_alt 'I m a 2'
_space_group_IT_number 46
loop_
_space_group_symop_operation_xyz
'x,y,z'
'-x,-y,z'
'-x+1/2,y,z'
'x+1/2,-y,z'
'x+1/2,y+1/2,z+1/2'
'-x+1/2,-y+1/2,z+1/2'
'-x,y+1/2,z+1/2'
'x,-y+1/2,z+1/2'
loop_
_atom_site_label
_atom_site_type_symbol
_atom_site_fract_x
_atom_site_fract_y
_atom_site_fract_z
Na1 Na 0.000 0.000 0.000
Ni1 Ni 0.250 0.250 0.249
I1 I 0.250 0.539 0.000
```